[1]
Structure and calculated X-ray diffraction stick pattern of Nd4TeIr2 (a cell relaxed with PBE; Cu Kα (λ = 1.5418 Å)).

Structure:
```
data_Nd4TeIr2
_chemical_formula_sum 'Nd16 Te4 Ir8'
_cell_length_a 8.793
_cell_length_b 8.793
_cell_length_c 12.415
_cell_angle_alpha 90.00
_cell_angle_beta 90.00
_cell_angle_gamma 90.00
_space_group_name_H-M_alt 'I 41/a m d'
_space_group_IT_number 141
loop_
_space_group_symop_operation_xyz
'x,y,z'
'-x,-y,-z'
'-y+1/4,x+3/4,z+1/4'
'y+1/4,-x+3/4,-z+1/4'
'-x+1/2,-y,z+1/2'
'x+1/2,y,-z+1/2'
'y+1/4,-x+1/4,z+3/4'
'-y+1/4,x+1/4,-z+3/4'
'x,-y,-z'
'-x,y,z'
'-y+1/4,-x+1/4,-z+3/4'
'y+1/4,x+1/4,z+3/4'
'-x+1/2,y,-z+1/2'
'x+1/2,-y,z+1/2'
'y+1/4,x+3/4,-z+1/4'
'-y+1/4,-x+3/4,z+1/4'
'x+1/2,y+1/2,z+1/2'
'-x+1/2,-y+1/2,-z+1/2'
'-y+3/4,x+1/4,z+3/4'
'y+3/4,-x+1/4,-z+3/4'
'-x,-y+1/2,z'
'x,y+1/2,-z'
'y+3/4,-x+3/4,z+1/4'
'-y+3/4,x+3/4,-z+1/4'
'x+1/2,-y+1/2,-z+1/2'
'-x+1/2,y+1/2,z+1/2'
'-y+3/4,-x+3/4,-z+1/4'
'y+3/4,x+3/4,z+1/4'
'-x,y+1/2,-z'
'x,-y+1/2,z'
'y+3/4,x+1/4,-z+3/4'
'-y+3/4,-x+1/4,z+3/4'
loop_
_atom_site_label
_atom_site_fract_x
_atom_site_fract_y
_atom_site_fract_z
Nd1 0.000 0.037 0.268
Te1 0.000 0.250 0.875
Ir1 0.000 0.000 0.500
```

Main lines, in order of rising 2θ (2θ from 10° to 90°):
d/Å	I (rel.)	(hkl)
7.176	527	1 0 1
4.394	161	2 0 0
3.747	521	1 0 3
3.107	833	0 0 4
2.392	662	3 2 1
2.197	1000	2 2 4
1.794	173	4 0 4
1.740	172	5 0 1
1.618	155	5 0 3
1.269	225	4 0 8

---

[2]
Structure and calculated X-ray diffraction stick pattern of ZnCI3 (a cell relaxed with PBE; Cu Kα (λ = 1.5418 Å)).

Structure:
```
data_ZnCI3
_chemical_formula_sum 'Zn1 C1 I3'
_cell_length_a 5.127
_cell_length_b 5.127
_cell_length_c 5.127
_cell_angle_alpha 90.00
_cell_angle_beta 90.00
_cell_angle_gamma 90.00
_space_group_name_H-M_alt 'P m -3 m'
_space_group_IT_number 221
_space_group_name_Hall '-P 4 2 3'
loop_
_atom_site_label
_atom_site_fract_x
_atom_site_fract_y
_atom_site_fract_z
Zn1 0.000 0.000 0.000
C1 0.500 0.500 0.500
I1 0.000 0.500 0.500
```

Main lines, in order of rising 2θ (2θ from 10° to 90°):
d/Å	I (rel.)	(hkl)
5.127	70	1 0 0
2.960	1000	1 1 1
2.564	555	2 0 0
2.293	31	2 1 0
1.813	385	2 2 0
1.546	420	3 1 1
1.480	130	2 2 2
1.282	60	4 0 0
1.176	172	3 3 1
1.147	172	4 2 0

---

[3]
Structure and calculated X-ray diffraction stick pattern of Mg5ZnPb2 (a cell relaxed with PBE; Cu Kα (λ = 1.5418 Å)).

Structure:
```
data_Mg5ZnPb2
_chemical_formula_sum 'Mg5 Zn1 Pb2'
_cell_length_a 6.666
_cell_length_b 6.666
_cell_length_c 4.838
_cell_angle_alpha 90.00
_cell_angle_beta 90.00
_cell_angle_gamma 90.00
_space_group_name_H-M_alt 'P 4/m m m'
_space_group_IT_number 123
_space_group_name_Hall '-P 4 2'
loop_
_atom_site_label
_atom_site_fract_x
_atom_site_fract_y
_atom_site_fract_z
Mg1 0.000 0.000 0.000
Mg2 0.275 0.275 0.500
Zn1 0.000 0.000 0.500
Pb1 0.000 0.500 0.000
```

Main lines, in order of rising 2θ (2θ from 10° to 90°):
d/Å	I (rel.)	(hkl)
4.838	179	0 0 1
4.713	491	1 1 0
3.376	1000	1 1 1
3.333	384	2 0 0
2.745	598	2 0 1
2.419	185	0 0 2
2.357	332	2 2 0
1.958	181	2 0 2
1.932	415	3 1 1
1.688	239	2 2 2

---

[4]
Structure and calculated X-ray diffraction stick pattern of TmGa4Pd4 (a cell relaxed with PBE; Cu Kα (λ = 1.5418 Å)).

Structure:
```
data_TmGa4Pd4
_chemical_formula_sum 'Tm2 Ga8 Pd8'
_cell_length_a 6.038
_cell_length_b 6.038
_cell_length_c 8.691
_cell_angle_alpha 90.00
_cell_angle_beta 90.00
_cell_angle_gamma 90.00
_space_group_name_H-M_alt 'P 42/n m c'
_space_group_IT_number 137
loop_
_space_group_symop_operation_xyz
'x,y,z'
'-x,-y,-z'
'-y+1/2,x,z+1/2'
'y+1/2,-x,-z+1/2'
'-x+1/2,-y+1/2,z'
'x+1/2,y+1/2,-z'
'y,-x+1/2,z+1/2'
'-y,x+1/2,-z+1/2'
'x+1/2,-y,-z'
'-x+1/2,y,z'
'-y,-x,-z+1/2'
'y,x,z+1/2'
'-x,y+1/2,-z'
'x,-y+1/2,z'
'y+1/2,x+1/2,-z+1/2'
'-y+1/2,-x+1/2,z+1/2'
loop_
_atom_site_label
_atom_site_fract_x
_atom_site_fract_y
_atom_site_fract_z
Tm1 0.250 0.750 0.250
Ga1 0.037 0.250 0.058
Pd1 0.022 0.250 0.353
```

Main lines, in order of rising 2θ (2θ from 10° to 90°):
d/Å	I (rel.)	(hkl)
3.046	183	1 1 2
2.612	332	1 0 3
2.579	1000	2 1 1
2.135	214	2 2 0
2.090	426	2 0 3
2.045	141	1 0 4
1.653	178	3 0 3
1.523	135	2 2 4
1.509	173	4 0 0
1.112	119	5 2 1

---

[5]
Structure and calculated X-ray diffraction stick pattern of Y2Ga3GeAu4 (a cell relaxed with PBE; Cu Kα (λ = 1.5418 Å)).

Structure:
```
data_Y2Ga3GeAu4
_chemical_formula_sum 'Y2 Ga3 Ge1 Au4'
_cell_length_a 4.293
_cell_length_b 4.293
_cell_length_c 11.018
_cell_angle_alpha 90.00
_cell_angle_beta 90.00
_cell_angle_gamma 90.00
_space_group_name_H-M_alt 'P -4 m 2'
_space_group_IT_number 115
loop_
_space_group_symop_operation_xyz
'x,y,z'
'y,-x,-z'
'-x,-y,z'
'-y,x,-z'
'-x,y,z'
'-y,-x,-z'
'x,-y,z'
'y,x,-z'
loop_
_atom_site_label
_atom_site_fract_x
_atom_site_fract_y
_atom_site_fract_z
Y1 0.000 0.500 0.239
Ga1 0.000 0.500 0.866
Ga2 0.500 0.500 0.500
Ge1 0.000 0.000 0.500
Au1 0.000 0.000 0.000
Au2 0.000 0.500 0.641
Au3 0.500 0.500 0.000
```

Main lines, in order of rising 2θ (2θ from 10° to 90°):
d/Å	I (rel.)	(hkl)
4.000	223	1 0 1
2.927	286	1 1 1
2.791	340	1 0 3
2.659	1000	1 1 2
2.147	651	2 0 0
2.040	541	1 1 4
1.960	283	1 0 5
1.518	216	2 2 0
1.448	210	2 1 5
1.318	224	3 1 2

---

[6]
Structure and calculated X-ray diffraction stick pattern of Ac2NdSm2Y (a cell relaxed with PBE; Cu Kα (λ = 1.5418 Å)).

Structure:
```
data_Ac2NdSm2Y
_chemical_formula_sum 'Ac4 Nd2 Sm4 Y2'
_cell_length_a 5.932
_cell_length_b 10.196
_cell_length_c 7.382
_cell_angle_alpha 90.00
_cell_angle_beta 90.00
_cell_angle_gamma 90.00
_space_group_name_H-M_alt 'P m c 21'
_space_group_IT_number 26
loop_
_space_group_symop_operation_xyz
'x,y,z'
'-x,-y,z+1/2'
'-x,y,z'
'x,-y,z+1/2'
loop_
_atom_site_label
_atom_site_fract_x
_atom_site_fract_y
_atom_site_fract_z
Ac1 0.000 0.000 0.000
Ac2 0.500 0.174 0.250
Nd1 0.000 0.336 0.749
Sm1 0.000 0.347 0.250
Sm2 0.500 0.176 0.750
Y1 0.500 0.500 0.000
```

Main lines, in order of rising 2θ (2θ from 10° to 90°):
d/Å	I (rel.)	(hkl)
2.994	1000	0 2 2
2.966	375	2 0 0
2.949	724	1 3 0
2.106	254	2 2 2
2.098	115	0 4 2
1.718	132	3 1 2
1.713	123	2 4 2
1.709	282	3 3 0
1.567	114	2 0 4
1.564	222	1 3 4